Structure and calculated powder X-ray diffraction pattern of Li2TiFe2O5 (a cell relaxed with PBE+U; Cu Kα X-rays).
Neutral-atom scattering factors, no anomalous dispersion.

Top 12 peaks for 5° ≤ 2θ ≤ 70°, by angle:
11.96°, intensity 24, hkl 0 0 1
21.69°, intensity 100, hkl 0 1 1
25.57°, intensity 34, hkl 1 0 -1
25.70°, intensity 49, hkl 1 0 2
36.45°, intensity 41, hkl 1 1 -2
40.54°, intensity 97, hkl 2 2 1
43.24°, intensity 83, hkl -1 1 2
43.50°, intensity 80, hkl 1 -1 3
60.64°, intensity 24, hkl 1 3 3
60.86°, intensity 48, hkl 1 3 -2
61.10°, intensity 25, hkl 3 1 4
62.78°, intensity 23, hkl 0 0 5

Structural model:
Cell lengths 5.3213, 5.3480, 7.8556 Å; angles 82.21, 70.39, 66.91 degrees
Atoms (fractional coordinates):
Li1 0.0000 0.0000 0.0000
Li2 0.0743 0.4594 0.8053
Li3 0.3892 0.9665 0.1956
Li4 0.6843 0.4838 0.6048
Ti1 0.1645 0.9728 0.5991
Ti2 0.4544 0.4738 0.9955
Fe1 0.2856 0.4565 0.4055
Fe2 0.5909 0.9605 0.8085
Fe3 0.7847 0.9579 0.3894
Fe4 0.8670 0.4705 0.2025
O1 0.0219 0.2096 0.4154
O2 0.1310 0.7095 0.1870
O3 0.2495 0.2394 0.0022
O4 0.3280 0.7082 0.8062
O5 0.4160 0.1646 0.6048
O6 0.5035 0.7281 0.4189
O7 0.6170 0.2302 0.1900
O8 0.6944 0.6784 0.0014
O9 0.8350 0.2086 0.7970
O10 0.9647 0.7242 0.5995